For Mg2ZrPb2, DFT lattice parameters and positions (GGA-PBE) gives the simulated X-ray powder pattern in this record (Cu Ka).

```
Mg2ZrPb2
1.0
4.9726 0.0000 0.0000
-2.4863 4.3064 0.0000
0.0000 0.0000 12.4510
Mg Zr Pb
4 2 4
Direct
0.0000 0.0000 0.0000
0.0000 0.0000 0.5000
0.3333 0.6667 0.2500
0.6667 0.3333 0.7500
0.0000 0.0000 0.2500
0.0000 0.0000 0.7500
0.3333 0.6667 0.6200
0.3333 0.6667 0.8800
0.6667 0.3333 0.1200
0.6667 0.3333 0.3800
```

Peak list (6 most intense, 2θ from 10° to 90°, most intense first)
- 21.8 deg, I = 100
- 36.1 deg, I = 91
- 29.9 deg, I = 85
- 35.6 deg, I = 59
- 47.6 deg, I = 24
- 71.5 deg, I = 24